Ti8Pb8O23: simulated powder XRD pattern (copper Kα), based on the PBE geometry in Alexandria.
Kinematic intensities with the Lorentz-polarization factor, no thermal factor.

Peak list (10 most intense, 10 to 90 degrees two-theta, low angle first)
4.774 Å, rel. 57; 3.824 Å, rel. 29; 2.997 Å, rel. 100; 2.985 Å, rel. 96; 2.713 Å, rel. 72; 2.359 Å, rel. 58; 2.027 Å, rel. 30; 1.792 Å, rel. 45; 1.618 Å, rel. 32; 1.612 Å, rel. 31

Crystal structure
```
39
Lattice="12.234 0.000 0.000 0.000 3.850 0.000 -3.448 0.000 11.939" Properties=species:S:1:pos:R:3 pbc="T T T"
Ti 0.000 0.000 0.000
Ti -1.097 0.000 8.931
Ti 1.318 0.000 5.957
Ti 3.715 0.000 2.954
Ti 2.663 0.000 11.907
Ti 5.018 0.000 8.906
Ti 7.430 0.000 5.944
Ti 9.826 0.000 2.965
Pb 0.434 1.925 2.821
Pb -0.616 1.925 11.750
Pb 1.756 1.925 8.765
Pb 4.166 1.925 5.760
Pb 6.588 1.925 2.754
Pb 5.564 1.925 11.634
Pb 7.797 1.925 8.833
Pb 10.256 1.925 5.813
O 0.405 1.925 0.334
O -1.852 0.000 10.775
O -0.056 0.000 4.871
O -0.683 1.925 9.263
O 0.523 0.000 7.773
O 2.346 0.000 1.863
O 1.736 1.925 6.275
O 2.931 0.000 4.771
O 1.293 0.000 10.822
O 4.137 1.925 3.259
O 5.342 0.000 1.771
O 3.651 0.000 7.813
O 6.548 1.925 0.246
O 4.287 0.000 10.679
O 6.079 0.000 4.835
O 6.583 0.000 7.801
O 8.465 0.000 1.868
O 7.792 1.925 6.313
O 9.023 0.000 4.805
O 7.411 0.000 10.836
O 10.229 1.925 3.317
O 11.447 0.000 1.825
O 9.771 0.000 7.838
```


TiTlPb2O4: simulated powder XRD pattern (copper Kα), based on the PBE geometry in Alexandria.
Kinematic intensities with the Lorentz-polarization factor, no thermal factor.

Peak list (10 most intense, 10 to 90 degrees two-theta, low angle first)
4.765 Å, rel. 21; 3.383 Å, rel. 100; 2.828 Å, rel. 73; 2.673 Å, rel. 51; 2.627 Å, rel. 21; 2.211 Å, rel. 18; 1.874 Å, rel. 39; 1.742 Å, rel. 32; 1.691 Å, rel. 12; 1.503 Å, rel. 19

Crystal structure
```
8
Lattice="0.000 4.422 5.254 3.356 0.000 5.254 3.356 4.422 0.000" Properties=species:S:1:pos:R:3 pbc="T T T"
Ti 0.000 0.000 0.000
Tl 3.356 4.422 4.617
Pb 1.678 2.211 2.310
Pb 5.035 6.632 7.563
O 3.356 1.474 4.197
O 5.157 4.422 6.323
O 3.356 7.369 4.197
O 1.556 4.422 6.323
```


UTiPb2O6: simulated powder XRD pattern (copper Kα), based on the PBE geometry in Alexandria.
Kinematic intensities with the Lorentz-polarization factor, no thermal factor.

Peak list (10 most intense, 10 to 90 degrees two-theta, low angle first)
3.760 Å, rel. 28; 2.970 Å, rel. 100; 2.789 Å, rel. 10; 2.104 Å, rel. 21; 2.035 Å, rel. 16; 1.716 Å, rel. 26; 1.680 Å, rel. 9; 1.555 Å, rel. 9; 1.330 Å, rel. 13; 1.251 Å, rel. 9

Crystal structure
```
10
Lattice="4.209 0.000 0.000 0.000 4.209 0.000 0.000 0.000 8.367" Properties=species:S:1:pos:R:3 pbc="T T T"
U 0.000 0.000 0.000
Ti 0.000 0.000 4.184
Pb 2.104 2.104 2.481
Pb 2.104 2.104 5.886
O 0.000 0.000 2.220
O 0.000 0.000 6.147
O 0.000 2.104 0.000
O 0.000 2.104 4.184
O 2.104 0.000 0.000
O 2.104 0.000 4.184
```